# Sm3BiS2
Computed powder XRD pattern, a wavelength of 1.5418 Å. Input: a PBE-relaxed structure.

Main lines, low angle first (5 to 70 degrees two-theta):
- (1 0 1), 15.88 deg, I 423
- (0 2 2), 26.19 deg, I 369
- (2 1 1), 27.51 deg, I 354
- (0 4 0), 31.74 deg, I 472
- (2 3 1), 35.69 deg, I 470
- (2 2 2), 35.91 deg, I 1000
- (4 0 0), 49.39 deg, I 335
- (4 4 0), 59.90 deg, I 379

Structural model:
Cell: 7.3738 11.2761 8.5353 Å, 90.00 90.00 90.00°
Space group Imma (No. 74)
One atom of each set of equivalent atoms:
Sm (0.2299, 0.0000, 0.0000) x8
Sm (0.2500, 0.2500, 0.2500) x4
Bi (0.0000, 0.2500, 0.9078) x4
S (0.0000, 0.0607, 0.2856) x8



# In12GaPb7
Computed powder XRD pattern, a wavelength of 1.5418 Å. Input: a PBE-relaxed structure.

Main lines, low angle first (5 to 70 degrees two-theta):
- (1 3 1), 29.47 deg, I 506
- (1 0 4), 31.88 deg, I 639
- (3 1 2), 32.42 deg, I 922
- (4 0 1), 32.56 deg, I 1000
- (0 3 3), 33.18 deg, I 735
- (0 4 2), 35.28 deg, I 365
- (4 4 0), 56.28 deg, I 316
- (4 3 4), 58.97 deg, I 311

Structural model:
Cell: 13.0761 13.0761 11.5884 Å, 90.00 90.00 120.00°
Space group R-3m (No. 166, hexagonal axes)
One atom of each set of equivalent atoms:
In (0.0000, 0.2601, 0.0000) x18
In (0.0419, 0.5210, 0.1257) x18
Ga (0.0000, 0.0000, 0.0000) x3
Pb (0.0000, 0.0000, 0.5000) x3
Pb (0.0873, 0.1746, 0.7673) x18



# Sc6Ga3Ni
Computed powder XRD pattern, a wavelength of 1.5418 Å. Input: a PBE-relaxed structure.

Main lines, low angle first (5 to 70 degrees two-theta):
- (2 1 -3), 34.54 deg, I 138
- (2 0 -4), 35.75 deg, I 360
- (3 1 -1), 36.60 deg, I 998
- (1 1 3), 38.49 deg, I 1000
- (0 2 0), 38.61 deg, I 624
- (2 2 -4), 53.63 deg, I 217
- (3 3 -1), 68.56 deg, I 140
- (1 3 3), 69.79 deg, I 154

Structural model:
Cell: 8.6891 4.6636 10.3882 Å, 90.00 110.55 90.00°
Space group P2_1/m (No. 11)
One atom of each set of equivalent atoms:
Sc (0.0356, 0.2500, 0.4073) x2
Sc (0.1540, 0.7500, 0.1837) x2
Sc (0.2465, 0.2500, 0.0128) x2
Sc (0.3743, 0.7500, 0.8487) x2
Sc (0.3754, 0.2500, 0.3469) x2
Sc (0.3896, 0.2500, 0.6438) x2
Ga (0.0432, 0.7500, 0.8869) x2
Ga (0.1257, 0.2500, 0.7244) x2
Ga (0.2765, 0.7500, 0.4821) x2
Ni (0.4047, 0.7500, 0.1126) x2



# Nd2ZnPd6
Computed powder XRD pattern, a wavelength of 1.5418 Å. Input: a PBE-relaxed structure.

Main lines, low angle first (5 to 70 degrees two-theta):
- (0 0 2), 30.78 deg, I 225
- (1 1 1), 34.52 deg, I 182
- (1 0 2), 35.69 deg, I 454
- (0 2 1), 39.01 deg, I 1000
- (2 0 2), 47.83 deg, I 200
- (1 1 3), 57.17 deg, I 141
- (2 1 2), 57.96 deg, I 95
- (2 2 0), 64.10 deg, I 199

Structural model:
Cell: 5.8109 5.8109 5.8085 Å, 90.00 90.00 120.00°
Space group P-3m1 (No. 164)
One atom of each set of equivalent atoms:
Nd (0.3333, 0.6667, 0.3186) x2
Zn (0.0000, 0.0000, 0.5000) x1
Pd (0.1739, 0.3477, 0.8113) x6



# Si2RhCl
Computed powder XRD pattern, a wavelength of 1.5418 Å. Input: a PBE-relaxed structure.

Main lines, low angle first (5 to 70 degrees two-theta):
- (1 1 0), 18.65 deg, I 715
- (0 2 0), 26.26 deg, I 241
- (2 0 0), 26.73 deg, I 230
- (0 0 1), 33.10 deg, I 735
- (2 2 0), 37.82 deg, I 1000
- (0 2 1), 42.76 deg, I 218
- (2 2 -1), 43.79 deg, I 646
- (2 2 1), 57.75 deg, I 275

Structural model:
Cell: 7.1415 6.7886 2.8981 Å, 90.00 110.94 90.00°
Space group C2/m (No. 12)
One atom of each set of equivalent atoms:
Si (0.2500, 0.2500, 0.0000) x4
Rh (0.0000, 0.0000, 0.0000) x2
Cl (0.0000, 0.5000, 0.0000) x2



# CaPdW
Computed powder XRD pattern, a wavelength of 1.5418 Å. Input: a PBE-relaxed structure.

Main lines, low angle first (5 to 70 degrees two-theta):
- (0 0 1), 10.42 deg, I 1000
- (0 1 1), 22.59 deg, I 133
- (0 0 3), 31.63 deg, I 194
- (1 1 1), 35.86 deg, I 452
- (1 1 2), 40.45 deg, I 658
- (0 2 0), 40.62 deg, I 198
- (0 0 4), 42.61 deg, I 94
- (0 2 3), 52.37 deg, I 93

Structural model:
Cell: 3.2466 4.4421 8.4874 Å, 90.00 90.00 90.00°
Space group Pmmn (No. 59, origin choice 2)
One atom of each set of equivalent atoms:
Ca (0.2500, 0.2500, 0.1525) x2
Pd (0.2500, 0.2500, 0.7586) x2
W (0.2500, 0.7500, 0.4861) x2



# ZrAgSb4
Computed powder XRD pattern, a wavelength of 1.5418 Å. Input: a PBE-relaxed structure.

Main lines, low angle first (5 to 70 degrees two-theta):
- (1 1 1), 17.83 deg, I 107
- (2 2 0), 29.32 deg, I 219
- (3 1 1), 34.52 deg, I 1000
- (2 2 2), 36.11 deg, I 459
- (4 0 0), 41.94 deg, I 75
- (4 2 2), 51.99 deg, I 84
- (5 1 1), 55.40 deg, I 332
- (4 4 0), 60.81 deg, I 296

Structural model:
Cell: 8.6172 8.6172 8.6172 Å, 90.00 90.00 90.00°
Space group F-43m (No. 216)
One atom of each set of equivalent atoms:
Zr (0.0000, 0.0000, 0.0000) x4
Ag (0.2500, 0.2500, 0.7500) x4
Sb (0.1249, 0.1249, 0.3751) x16



# RbErBeF6
Computed powder XRD pattern, a wavelength of 1.5418 Å. Input: a PBE-relaxed structure.

Main lines, low angle first (5 to 70 degrees two-theta):
- (1 0 -1), 15.35 deg, I 363
- (0 1 1), 20.23 deg, I 307
- (1 1 0), 21.30 deg, I 425
- (1 1 -1), 21.66 deg, I 326
- (2 0 -1), 27.30 deg, I 449
- (1 1 1), 28.31 deg, I 1000
- (1 1 -2), 29.12 deg, I 804
- (0 2 2), 41.13 deg, I 311

Structural model:
Cell: 6.5397 5.8330 7.3067 Å, 90.00 114.18 90.00°
Space group P2_1/m (No. 11)
One atom of each set of equivalent atoms:
Rb (0.0862, 0.2500, 0.2136) x2
Er (0.3966, 0.2500, 0.8234) x2
Be (0.2311, 0.7500, 0.4637) x2
F (0.0045, 0.2500, 0.7190) x2
F (0.2526, 0.5325, 0.5959) x4
F (0.3220, 0.5012, 0.0238) x4
F (0.4140, 0.7500, 0.3801) x2



# SiO2
Computed powder XRD pattern, a wavelength of 1.5418 Å. Input: a PBE-relaxed structure.

Main lines, low angle first (5 to 70 degrees two-theta):
- (1 1 0), 12.57 deg, I 1000
- (2 0 0), 17.81 deg, I 459
- (2 1 1), 21.86 deg, I 91
- (3 1 0), 28.34 deg, I 507
- (3 3 0), 38.34 deg, I 84
- (5 1 0), 46.49 deg, I 87
- (6 0 0), 55.34 deg, I 64
- (6 3 1), 63.33 deg, I 63

Structural model:
Cell: 9.9601 9.9601 9.9601 Å, 90.00 90.00 90.00°
Space group Im-3m (No. 229)
One atom of each set of equivalent atoms:
Si (0.1569, 0.1569, 0.1569) x16
O (0.0000, 0.1894, 0.1894) x24
O (0.2500, 0.2500, 0.2500) x8



# Pr3Ga6Pd20
Computed powder XRD pattern, a wavelength of 1.5418 Å. Input: a PBE-relaxed structure.

Main lines, low angle first (5 to 70 degrees two-theta):
- (4 2 0), 31.75 deg, I 143
- (4 2 2), 34.87 deg, I 236
- (3 3 3), 37.06 deg, I 1000
- (4 4 0), 40.49 deg, I 471
- (5 3 1), 42.43 deg, I 287
- (6 0 0), 43.06 deg, I 148
- (6 2 2), 47.87 deg, I 215
- (6 6 0), 62.53 deg, I 247

Structural model:
Cell: 12.6036 12.6036 12.6036 Å, 90.00 90.00 90.00°
Space group Fm-3m (No. 225)
One atom of each set of equivalent atoms:
Pr (0.0000, 0.0000, 0.0000) x4
Pr (0.2500, 0.2500, 0.2500) x8
Ga (0.0000, 0.0000, 0.2716) x24
Pd (0.0000, 0.1733, 0.1733) x48
Pd (0.1183, 0.1183, 0.3817) x32



# PuThCd6
Computed powder XRD pattern, a wavelength of 1.5418 Å. Input: a PBE-relaxed structure.

Main lines, low angle first (5 to 70 degrees two-theta):
- (0 0 4), 32.31 deg, I 219
- (1 1 3), 32.66 deg, I 229
- (1 2 2), 34.44 deg, I 1000
- (2 0 0), 36.55 deg, I 271
- (1 0 4), 37.25 deg, I 122
- (2 0 4), 49.57 deg, I 132
- (2 4 0), 62.98 deg, I 132
- (3 2 2), 64.44 deg, I 159

Structural model:
Cell: 4.9173 7.3767 11.0813 Å, 90.00 90.00 90.00°
Space group Amm2 (No. 38)
One atom of each set of equivalent atoms:
Pu (0.0000, 0.0000, 0.0000) x2
Th (0.5000, 0.0000, 0.2571) x2
Cd (0.0000, 0.0000, 0.4552) x2
Cd (0.0000, 0.2063, 0.7247) x4
Cd (0.5000, 0.0000, 0.8062) x2
Cd (0.5000, 0.2108, 0.5307) x4



# Pm3Hg2Pd2Au4
Computed powder XRD pattern, a wavelength of 1.5418 Å. Input: a PBE-relaxed structure.

Main lines, low angle first (5 to 70 degrees two-theta):
- (0 1 2), 25.49 deg, I 139
- (1 0 3), 29.74 deg, I 222
- (0 1 4), 34.89 deg, I 799
- (1 1 0), 37.78 deg, I 1000
- (1 1 4), 47.12 deg, I 144
- (2 0 4), 52.36 deg, I 254
- (1 2 4), 66.35 deg, I 250
- (3 0 0), 68.21 deg, I 179

Structural model:
Cell: 4.7630 4.7630 13.1549 Å, 90.00 90.00 120.00°
Space group P-3m1 (No. 164)
One atom of each set of equivalent atoms:
Pm (0.0000, 0.0000, 0.0000) x1
Pm (0.0000, 0.0000, 0.2640) x2
Hg (0.3333, 0.6667, 0.5762) x2
Pd (0.3333, 0.6667, 0.1338) x2
Au (0.3333, 0.6667, 0.3572) x2
Au (0.3333, 0.6667, 0.8789) x2



# Pu6Sc
Computed powder XRD pattern, a wavelength of 1.5418 Å. Input: a PBE-relaxed structure.

Main lines, low angle first (5 to 70 degrees two-theta):
- (1 1 0), 18.82 deg, I 1000
- (2 0 0), 26.74 deg, I 327
- (2 1 1), 32.90 deg, I 771
- (2 2 0), 38.17 deg, I 178
- (3 1 0), 42.89 deg, I 260
- (2 2 2), 47.22 deg, I 679
- (3 2 1), 51.26 deg, I 451
- (4 0 0), 55.09 deg, I 368

Structural model:
Cell: 6.6680 6.6680 6.6680 Å, 90.00 90.00 90.00°
Space group Im-3m (No. 229)
One atom of each set of equivalent atoms:
Pu (0.0000, 0.2500, 0.5000) x12
Sc (0.0000, 0.0000, 0.0000) x2